# CaGePb
Simulated X-ray powder pattern, copper Kα. Input: a structure optimized by DFT (PBE).
Neutral-atom scattering factors, no anomalous dispersion.

Largest 10 diffraction maxima, in order of falling intensity, 2θ = 5–70°:
2θ/deg, I/Imax, hkl
31.15, 100, 1 1 0
30.81, 96, 1 0 -2
19.08, 70, 1 0 0
38.41, 47, -1 2 1
34.27, 47, 1 -2 1
39.16, 40, 2 1 -2
17.08, 26, 0 1 0
23.96, 26, -1 1 1
38.71, 23, 2 0 0
53.35, 22, 3 -1 0

Cell lengths 6.0056, 6.0059, 6.0165 Å; angles 103.69, 119.46, 105.64 degrees
Space group P1 (No. 1)
One atom of each set of equivalent atoms:
Ca 0.0000 0.0000 0.0000
Ca 0.1590 0.6669 0.5098
Ge 0.0360 0.1437 0.5533
Ge 0.5905 0.1455 0.1074
Pb 0.4721 0.6285 0.1577
Pb 0.6486 0.3407 0.6927

=====

# Pm2NdErSb4
Simulated X-ray powder pattern, copper Kα. Input: a structure optimized by DFT (PBE).
Neutral-atom scattering factors, no anomalous dispersion.

Largest 8 diffraction maxima, in order of falling intensity, 2θ = 5–70°:
2θ/deg, I/Imax, hkl
28.25, 100, 1 1 1
40.38, 76, 0 2 0
66.15, 35, 1 3 1
50.02, 27, 2 2 -2
58.44, 13, 2 2 2
24.41, 2, 2 0 0
47.75, 1, 3 1 1
64.28, 1, 4 0 2

Cell lengths 7.7340, 4.4696, 7.7356 Å; angles 90.00, 109.49, 90.00 degrees
Space group P2/m (No. 10)
One atom of each set of equivalent atoms:
Pm 0.0000 0.0000 0.0000
Pm 0.5000 0.5000 0.0000
Nd 0.0000 0.5000 0.5000
Er 0.5000 0.0000 0.5000
Sb 0.2545 0.0000 0.7482
Sb 0.2568 0.5000 0.2555

=====

# Te2Mo2WSe2S2
Simulated X-ray powder pattern, copper Kα. Input: a structure optimized by DFT (PBE).
Neutral-atom scattering factors, no anomalous dispersion.

Largest 10 diffraction maxima, in order of falling intensity, 2θ = 5–70°:
2θ/deg, I/Imax, hkl
10.05, 100, 0 0 3
35.34, 56, 1 0 5
43.93, 46, 0 1 9
6.70, 41, 0 0 2
30.87, 34, 1 0 0
37.16, 33, 0 1 6
13.42, 23, 0 0 4
54.89, 22, 1 1 0
41.48, 16, 1 0 8
16.80, 13, 0 0 5

Cell lengths 3.3450, 3.3450, 26.3920 Å; angles 90.00, 90.00, 120.00 degrees
Space group P3m1 (No. 156)
One atom of each set of equivalent atoms:
Te 0.0000 0.0000 0.0000
Te 0.0000 0.0000 0.1437
Mo 0.0000 0.0000 0.7888
Mo 0.3333 0.6667 0.0719
W 0.0000 0.0000 0.3550
Se 0.3333 0.6667 0.7257
Se 0.3333 0.6667 0.8520
S 0.3333 0.6667 0.2973
S 0.3333 0.6667 0.4126

=====

# PmErAgRu
Simulated X-ray powder pattern, copper Kα. Input: a structure optimized by DFT (PBE).
Neutral-atom scattering factors, no anomalous dispersion.

Largest 10 diffraction maxima, in order of falling intensity, 2θ = 5–70°:
2θ/deg, I/Imax, hkl
35.18, 100, 1 0 2
36.92, 48, 1 1 0
65.40, 32, 2 1 2
53.20, 16, 2 0 0
61.98, 15, 1 1 4
47.91, 8, 0 0 4
44.42, 6, 1 0 3
11.65, 5, 0 0 1
25.88, 4, 1 0 0
67.38, 4, 1 0 5

Cell lengths 3.4433, 3.4433, 7.5946 Å; angles 90.00, 90.00, 90.00 degrees
Space group P4mm (No. 99)
One atom of each set of equivalent atoms:
Pm 0.0000 0.0000 0.0000
Er 0.0000 0.0000 0.5547
Ag 0.5000 0.5000 0.2949
Ru 0.5000 0.5000 0.7663